Theoretical powder diffractogram of Nd2Dy2CIBr2Cl2 for Cu Ka, from a DFT-relaxed cell (PBE, OQMD).

Structural model:
Cell: 17.8720 3.9208 8.8364 Å, 90.00 103.13 90.00°
Space group C2/m (No. 12)
Symmetry-distinct sites (fractional):
Nd: 0.0010 0.0000 0.1963
Dy: 0.1378 0.5000 0.0654
C: 0.0000 0.5000 0.0000
I: 0.0000 0.5000 0.5000
Br: 0.1731 0.0000 0.8487
Cl: 0.1651 0.0000 0.2852

Main lines, in order of rising 2θ (2θ from 10° to 90°):
hkl 2 0 0, 10.2 deg, I = 46
hkl 0 0 1, 10.3 deg, I = 95
hkl 1 1 -2, 30.5 deg, I = 100
hkl 3 1 1, 30.6 deg, I = 22
hkl 6 0 0, 30.8 deg, I = 38
hkl 5 1 -1, 34.3 deg, I = 26
hkl 1 1 -3, 38.3 deg, I = 21
hkl 5 1 2, 43.6 deg, I = 23
hkl 7 1 -2, 44.2 deg, I = 24
hkl 0 2 0, 46.3 deg, I = 18


Theoretical powder diffractogram of Cu5Ag4 for Cu Ka, from a DFT-relaxed cell (PBE, OQMD).

Structural model:
Cell: 8.2174 8.2174 3.8823 Å, 90.00 90.00 90.00°
Space group I4/mmm (No. 139)
Symmetry-distinct sites (fractional):
Cu: 0.0000 0.0000 0.0000
Cu: 0.1595 0.1595 0.5000
Ag: 0.0000 0.3205 0.0000

Main lines, in order of rising 2θ (2θ from 10° to 90°):
hkl 2 2 0, 30.8 deg, I = 5
hkl 2 1 1, 33.6 deg, I = 6
hkl 3 0 1, 40.3 deg, I = 100
hkl 0 0 2, 46.8 deg, I = 16
hkl 3 3 0, 46.9 deg, I = 31
hkl 5 2 1, 65.8 deg, I = 3
hkl 3 3 2, 68.5 deg, I = 27
hkl 3 0 3, 82.4 deg, I = 11
hkl 6 3 1, 82.6 deg, I = 20
hkl 6 0 2, 87.1 deg, I = 9


Theoretical powder diffractogram of Co3W2 for Cu Ka, from a DFT-relaxed cell (PBE, OQMD).

Structural model:
Cell: 8.8605 8.8605 4.8809 Å, 90.00 90.00 90.00°
Space group P4_2/mnm (No. 136)
Symmetry-distinct sites (fractional):
Co: 0.0000 0.0000 0.0000
Co: 0.0337 0.3700 0.5000
Co: 0.0628 0.2637 0.0000
W: 0.1060 0.1060 0.5000
W: 0.1856 0.8144 0.2501

Main lines, in order of rising 2θ (2θ from 10° to 90°):
hkl 1 1 0, 14.1 deg, I = 28
hkl 2 0 0, 20.0 deg, I = 23
hkl 3 2 0, 36.6 deg, I = 17
hkl 4 1 0, 42.0 deg, I = 85
hkl 2 0 2, 42.3 deg, I = 45
hkl 3 3 0, 43.3 deg, I = 36
hkl 2 1 2, 43.6 deg, I = 100
hkl 4 1 1, 46.2 deg, I = 48
hkl 3 3 1, 47.3 deg, I = 23
hkl 5 3 2, 73.4 deg, I = 27


Theoretical powder diffractogram of LiNd6B3O13F2 for Cu Ka, from a DFT-relaxed cell (PBE, OQMD).

Structural model:
Cell: 12.0417 6.9041 16.0573 Å, 90.00 104.70 90.00°
Space group C2/c (No. 15)
Symmetry-distinct sites (fractional):
Li: 0.0000 0.0732 0.2500
Nd: 0.0486 0.4273 0.4011
Nd: 0.1361 0.1006 0.6124
Nd: 0.2176 0.0853 0.9059
B: 0.0000 0.2873 0.7500
B: 0.1790 0.2624 0.2488
O: 0.0000 0.4838 0.7500
O: 0.0237 0.1868 0.8277
O: 0.0960 0.1986 0.1784
O: 0.1046 0.4220 0.5590
O: 0.1700 0.2260 0.3326
O: 0.2263 0.1402 0.7605
O: 0.2305 0.4164 0.9390
F: 0.0677 0.0852 0.4566

Main lines, in order of rising 2θ (2θ from 10° to 90°):
hkl 0 0 4, 22.9 deg, I = 66
hkl 3 1 -1, 25.7 deg, I = 39
hkl 3 1 0, 26.3 deg, I = 85
hkl 0 2 1, 26.4 deg, I = 45
hkl 3 1 -4, 31.0 deg, I = 56
hkl 0 2 3, 31.1 deg, I = 100
hkl 0 0 6, 34.6 deg, I = 36
hkl 6 0 -2, 45.2 deg, I = 26
hkl 3 3 -1, 45.4 deg, I = 54
hkl 0 2 7, 48.8 deg, I = 48


Theoretical powder diffractogram of Gd2HoIn3Pt2Au for Cu Ka, from a DFT-relaxed cell (PBE, OQMD).

Structural model:
Cell: 3.8324 13.4835 7.8063 Å, 90.00 90.00 90.00°
Space group Amm2 (No. 38)
Symmetry-distinct sites (fractional):
Gd: 0.0000 0.2042 0.0000
Ho: 0.0000 0.0000 0.3872
In: 0.5000 0.0000 0.0643
In: 0.5000 0.1337 0.6613
Pt: 0.5000 0.1651 0.2965
Au: 0.0000 0.0000 0.7949

Main lines, in order of rising 2θ (2θ from 10° to 90°):
hkl 0 0 2, 22.8 deg, I = 14
hkl 1 3 1, 32.8 deg, I = 77
hkl 0 1 3, 35.2 deg, I = 31
hkl 1 4 0, 35.4 deg, I = 100
hkl 0 6 0, 40.1 deg, I = 56
hkl 1 4 2, 42.6 deg, I = 37
hkl 2 0 0, 47.4 deg, I = 23
hkl 2 1 3, 60.4 deg, I = 13
hkl 2 6 0, 63.8 deg, I = 28
hkl 1 7 3, 65.0 deg, I = 24


Theoretical powder diffractogram of Nd3Pt4 for Cu Ka, from a DFT-relaxed cell (PBE, OQMD).

Structural model:
Cell: 13.6537 13.6537 5.8412 Å, 90.00 90.00 120.00°
Space group R-3 (No. 148, hexagonal axes)
Symmetry-distinct sites (fractional):
Nd: 0.0432 0.8337 0.2390
Pt: 0.0000 0.0000 0.0000
Pt: 0.0000 0.0000 0.5000
Pt: 0.0564 0.7796 0.7201

Main lines, in order of rising 2θ (2θ from 10° to 90°):
hkl 1 3 1, 31.3 deg, I = 30
hkl 2 0 2, 34.2 deg, I = 15
hkl 4 1 0, 34.8 deg, I = 100
hkl 5 -2 1, 36.5 deg, I = 22
hkl 1 2 2, 36.8 deg, I = 77
hkl 4 -1 2, 41.4 deg, I = 24
hkl 4 3 1, 49.4 deg, I = 12
hkl 6 -2 2, 51.5 deg, I = 16
hkl 5 4 1, 63.5 deg, I = 13
hkl 0 7 2, 63.6 deg, I = 11


Theoretical powder diffractogram of Na11Zn2Sb5 for Cu Ka, from a DFT-relaxed cell (PBE, OQMD).

Structural model:
Cell: 8.9098 10.7054 11.4540 Å, 103.47 97.01 107.54°
Space group P-1 (No. 2)
Symmetry-distinct sites (fractional):
Na: 0.0578 0.2055 0.2561
Na: 0.1327 0.4103 0.0224
Na: 0.1488 0.9255 0.0389
Na: 0.2112 0.0621 0.5748
Na: 0.2111 0.5806 0.5742
Na: 0.3026 0.3936 0.7759
Na: 0.3352 0.9071 0.7852
Na: 0.3679 0.3346 0.4681
Na: 0.3696 0.8275 0.4425
Na: 0.4091 0.7546 0.1450
Na: 0.4224 0.2733 0.1406
Zn: 0.0560 0.5448 0.2864
Zn: 0.0565 0.8769 0.2886
Sb: 0.0014 0.2605 0.5377
Sb: 0.1946 0.1350 0.8731
Sb: 0.1963 0.6500 0.8735
Sb: 0.3505 0.5295 0.3002
Sb: 0.3532 0.0493 0.3084

Main lines, in order of rising 2θ (2θ from 10° to 90°):
hkl 1 0 0, 10.6 deg, I = 19
hkl 0 2 -2, 20.6 deg, I = 100
hkl 1 0 2, 21.3 deg, I = 62
hkl 1 2 0, 24.0 deg, I = 34
hkl 1 -4 1, 33.5 deg, I = 32
hkl -3 2 2, 34.6 deg, I = 27
hkl 1 -2 4, 34.7 deg, I = 75
hkl 3 0 1, 35.0 deg, I = 27
hkl 2 -4 3, 40.0 deg, I = 40
hkl 2 2 2, 41.0 deg, I = 35


Theoretical powder diffractogram of Lu4B3P for Cu Ka, from a DFT-relaxed cell (PBE, OQMD).

Structural model:
Cell: 3.9336 3.9336 21.8501 Å, 90.00 90.00 120.00°
Space group P6_3/mmc (No. 194)
Symmetry-distinct sites (fractional):
Lu: 0.0000 0.0000 0.1727
Lu: 0.3333 0.6667 0.0545
B: 0.0000 0.0000 0.0000
B: 0.3333 0.6667 0.6039
P: 0.3333 0.6667 0.2500

Main lines, in order of rising 2θ (2θ from 10° to 90°):
hkl 1 0 2, 27.4 deg, I = 97
hkl 1 0 3, 28.9 deg, I = 41
hkl 0 0 8, 32.8 deg, I = 30
hkl 1 0 5, 33.3 deg, I = 66
hkl 1 0 6, 36.1 deg, I = 100
hkl 1 1 0, 46.2 deg, I = 70
hkl 1 0 12, 57.4 deg, I = 21
hkl 1 1 8, 57.8 deg, I = 37
hkl 2 0 6, 60.0 deg, I = 23
hkl 0 0 18, 78.8 deg, I = 24


Theoretical powder diffractogram of Pr4Mg3Fe2 for Cu Ka, from a DFT-relaxed cell (PBE, OQMD).

Structural model:
Cell: 7.6308 3.9620 8.3565 Å, 90.00 109.81 90.00°
Space group P2/m (No. 10)
Symmetry-distinct sites (fractional):
Pr: 0.0940 0.0000 0.2244
Pr: 0.3903 0.0000 0.6898
Mg: 0.0000 0.5000 0.5000
Mg: 0.2919 0.5000 0.0051
Fe: 0.3616 0.5000 0.4043

Main lines, in order of rising 2θ (2θ from 10° to 90°):
hkl 1 0 -1, 13.6 deg, I = 33
hkl 0 1 0, 22.4 deg, I = 41
hkl 0 0 2, 22.6 deg, I = 37
hkl 2 0 -1, 23.5 deg, I = 41
hkl 2 0 1, 30.7 deg, I = 35
hkl 0 1 2, 32.1 deg, I = 100
hkl 2 1 -1, 32.7 deg, I = 93
hkl 2 0 -3, 34.9 deg, I = 29
hkl 2 1 1, 38.3 deg, I = 43
hkl 0 2 0, 45.8 deg, I = 27


Theoretical powder diffractogram of CsCu5Te3 for Cu Ka, from a DFT-relaxed cell (PBE, OQMD).

Structural model:
Cell: 13.8295 13.8295 4.2291 Å, 90.00 90.00 90.00°
Space group P4_2/mnm (No. 136)
Symmetry-distinct sites (fractional):
Cs: 0.1095 0.1095 0.0000
Cu: 0.0181 0.4073 0.0000
Cu: 0.0803 0.7022 0.5000
Cu: 0.1900 0.8100 0.0000
Te: 0.1135 0.3300 0.5000
Te: 0.1138 0.8862 0.5000

Main lines, in order of rising 2θ (2θ from 10° to 90°):
hkl 4 0 0, 25.8 deg, I = 91
hkl 2 2 1, 27.9 deg, I = 100
hkl 3 1 1, 29.4 deg, I = 36
hkl 5 0 1, 38.9 deg, I = 97
hkl 0 0 2, 42.8 deg, I = 53
hkl 6 1 1, 45.3 deg, I = 35
hkl 5 5 0, 46.4 deg, I = 48
hkl 6 2 1, 46.8 deg, I = 83
hkl 4 0 2, 50.6 deg, I = 28
hkl 5 5 2, 64.9 deg, I = 34


Theoretical powder diffractogram of Pm2Tl for Cu Ka, from a DFT-relaxed cell (PBE, OQMD).

Structural model:
Cell: 5.5378 9.5778 6.8789 Å, 90.00 90.00 90.00°
Space group Cmcm (No. 63)
Symmetry-distinct sites (fractional):
Pm: 0.0000 0.0000 0.0000
Pm: 0.0000 0.3335 0.2500
Tl: 0.0000 0.3330 0.7500

Main lines, in order of rising 2θ (2θ from 10° to 90°):
hkl 0 2 2, 32.0 deg, I = 87
hkl 2 0 0, 32.4 deg, I = 100
hkl 2 0 2, 41.9 deg, I = 16
hkl 2 2 2, 46.2 deg, I = 32
hkl 1 5 2, 57.5 deg, I = 33
hkl 3 3 0, 57.7 deg, I = 19
hkl 2 0 4, 63.7 deg, I = 29
hkl 4 0 0, 67.7 deg, I = 12
hkl 3 5 2, 76.9 deg, I = 14
hkl 3 3 4, 82.4 deg, I = 14


Copy entry 8 word for word.
Theoretical powder diffractogram of Lu4B3P for Cu Ka, from a DFT-relaxed cell (PBE, OQMD).

Structural model:
Cell: 3.9336 3.9336 21.8501 Å, 90.00 90.00 120.00°
Space group P6_3/mmc (No. 194)
Symmetry-distinct sites (fractional):
Lu: 0.0000 0.0000 0.1727
Lu: 0.3333 0.6667 0.0545
B: 0.0000 0.0000 0.0000
B: 0.3333 0.6667 0.6039
P: 0.3333 0.6667 0.2500

Main lines, in order of rising 2θ (2θ from 10° to 90°):
hkl 1 0 2, 27.4 deg, I = 97
hkl 1 0 3, 28.9 deg, I = 41
hkl 0 0 8, 32.8 deg, I = 30
hkl 1 0 5, 33.3 deg, I = 66
hkl 1 0 6, 36.1 deg, I = 100
hkl 1 1 0, 46.2 deg, I = 70
hkl 1 0 12, 57.4 deg, I = 21
hkl 1 1 8, 57.8 deg, I = 37
hkl 2 0 6, 60.0 deg, I = 23
hkl 0 0 18, 78.8 deg, I = 24